No. 1
This entry pairs a crystal structure of Na3Tc with its computed powder XRD pattern. Radiation: a wavelength of 1.5418 Å. Structure: a DFT-relaxed cell (PBE, the Materials Project).

Structural model:
```
Na3Tc
1.0
4.721 0.000 0.000
0.000 4.721 0.000
0.000 0.000 9.497
Na Tc
6 2
Cartesian
0.000 0.000 0.000
0.000 2.360 2.374
0.000 2.360 7.123
2.360 0.000 2.374
2.360 0.000 7.123
2.360 2.360 4.749
0.000 0.000 4.749
2.360 2.360 0.000
```

Principal peaks in the range 10 to 90 degrees two-theta, in order of rising 2θ:
18.69 deg, I = 20; 21.02 deg, I = 60; 26.71 deg, I = 16; 32.80 deg, I = 100; 34.10 deg, I = 17; 37.89 deg, I = 17; 38.13 deg, I = 33; 43.94 deg, I = 17; 54.84 deg, I = 22; 65.55 deg, I = 24



No. 2
This entry pairs a crystal structure of Na3Tc with its computed powder XRD pattern. Radiation: a wavelength of 1.5418 Å. Structure: a DFT-relaxed cell (PBE, the Materials Project).

Structural model:
```
Na3Tc
1.0
7.564 0.000 0.000
0.000 7.564 0.000
0.000 0.000 7.564
Na Tc
12 4
Cartesian
0.000 0.000 0.000
0.000 3.782 3.782
1.891 1.891 1.891
1.891 1.891 5.673
1.891 5.673 1.891
1.891 5.673 5.673
3.782 0.000 3.782
3.782 3.782 0.000
5.673 1.891 1.891
5.673 1.891 5.673
5.673 5.673 1.891
5.673 5.673 5.673
0.000 0.000 3.782
0.000 3.782 0.000
3.782 0.000 0.000
3.782 3.782 3.782
```

Principal peaks in the range 10 to 90 degrees two-theta, in order of rising 2θ:
20.33 deg, I = 46; 23.52 deg, I = 24; 33.51 deg, I = 100; 39.51 deg, I = 24; 48.12 deg, I = 17; 52.75 deg, I = 10; 54.23 deg, I = 10; 59.91 deg, I = 35; 70.41 deg, I = 10; 80.27 deg, I = 14



No. 3
This entry pairs a crystal structure of Na3Tc with its computed powder XRD pattern. Radiation: a wavelength of 1.5418 Å. Structure: a DFT-relaxed cell (PBE, the Materials Project).

Structural model:
```
Na3Tc
1.0
6.682 0.000 0.000
-3.341 5.787 0.000
0.000 0.000 5.483
Na Tc
6 2
Cartesian
0.000 2.033 1.371
-1.581 4.770 1.371
1.760 1.016 4.112
1.581 4.770 1.371
4.922 1.016 4.112
3.341 3.754 4.112
0.000 3.858 4.112
3.341 1.929 1.371
```

Principal peaks in the range 10 to 90 degrees two-theta, in order of rising 2θ:
15.31 deg, I = 32; 22.34 deg, I = 57; 26.68 deg, I = 27; 30.91 deg, I = 24; 32.66 deg, I = 27; 35.07 deg, I = 100; 44.60 deg, I = 23; 54.97 deg, I = 17; 59.85 deg, I = 20; 65.42 deg, I = 19



No. 4
This entry pairs a crystal structure of NaTe with its computed powder XRD pattern. Radiation: a wavelength of 1.5418 Å. Structure: a DFT-relaxed cell (PBE, the Materials Project).

Structural model:
```
NaTe
1.0
16.033 0.000 0.000
0.000 10.079 0.000
0.000 0.000 9.167
Na Te
24 24
Cartesian
0.462 1.817 0.546
0.462 8.262 5.130
1.817 3.321 6.802
1.817 6.757 2.219
3.046 0.120 2.515
3.046 9.959 7.098
4.971 4.919 7.098
4.971 5.159 2.515
6.199 1.718 2.219
6.199 8.361 6.802
7.555 3.223 5.130
7.555 6.856 0.546
8.478 3.223 8.620
8.478 6.856 4.037
9.834 1.718 2.365
9.834 8.361 6.948
11.062 4.919 6.651
11.062 5.159 2.068
12.988 0.120 2.068
12.988 9.959 6.651
14.216 3.321 6.948
14.216 6.757 2.365
15.571 1.817 4.037
15.571 8.262 8.620
0.000 0.728 6.875
0.000 5.039 0.000
0.000 5.039 4.583
0.000 9.351 2.292
2.130 3.622 2.821
2.130 6.457 7.404
3.959 2.492 0.103
3.959 7.587 4.686
4.057 2.547 4.686
4.057 7.531 0.103
5.887 1.418 7.404
5.887 8.661 2.821
8.017 0.000 0.000
8.017 0.000 4.583
8.017 4.311 2.292
8.017 5.768 6.875
10.146 1.418 6.346
10.146 8.661 1.763
11.976 2.547 9.064
11.976 7.531 4.481
12.074 2.492 4.481
12.074 7.587 9.064
13.904 3.622 1.763
13.904 6.457 6.346
```

Principal peaks in the range 10 to 90 degrees two-theta, in order of rising 2θ:
20.11 deg, I = 52; 20.82 deg, I = 100; 21.17 deg, I = 33; 27.11 deg, I = 55; 28.58 deg, I = 53; 29.61 deg, I = 65; 31.45 deg, I = 33; 33.54 deg, I = 46; 35.30 deg, I = 40; 42.37 deg, I = 34



No. 5
This entry pairs a crystal structure of Na3Ti with its computed powder XRD pattern. Radiation: a wavelength of 1.5418 Å. Structure: a DFT-relaxed cell (PBE, the Materials Project).

Structural model:
```
Na3Ti
1.0
4.905 0.000 0.000
0.000 4.905 0.000
0.000 0.000 4.905
Na Ti
3 1
Cartesian
0.000 0.000 2.452
0.000 2.452 0.000
2.452 0.000 0.000
2.452 2.452 2.452
```

Principal peaks in the range 10 to 90 degrees two-theta, in order of rising 2θ:
18.09 deg, I = 12; 25.69 deg, I = 10; 31.60 deg, I = 100; 36.65 deg, I = 49; 41.16 deg, I = 5; 52.79 deg, I = 31; 62.84 deg, I = 35; 65.98 deg, I = 10; 86.50 deg, I = 12; 89.33 deg, I = 11



No. 6
This entry pairs a crystal structure of Na3Ti with its computed powder XRD pattern. Radiation: a wavelength of 1.5418 Å. Structure: a DFT-relaxed cell (PBE, the Materials Project).

Structural model:
```
Na3Ti
1.0
7.020 0.000 0.000
-3.510 6.079 0.000
0.000 0.000 5.771
Na Ti
6 2
Cartesian
0.000 2.052 1.443
-1.733 5.053 1.443
1.777 1.026 4.328
1.733 5.053 1.443
5.243 1.026 4.328
3.510 4.028 4.328
0.000 4.053 4.328
3.510 2.026 1.443
```

Principal peaks in the range 10 to 90 degrees two-theta, in order of rising 2θ:
21.23 deg, I = 12; 29.38 deg, I = 24; 30.99 deg, I = 27; 33.32 deg, I = 100; 43.23 deg, I = 15; 52.12 deg, I = 17; 56.62 deg, I = 19; 61.88 deg, I = 19; 63.28 deg, I = 13; 86.34 deg, I = 9



No. 7
This entry pairs a crystal structure of Na2Tl with its computed powder XRD pattern. Radiation: a wavelength of 1.5418 Å. Structure: a DFT-relaxed cell (PBE, the Materials Project).

Structural model:
```
Na2Tl
1.0
4.503 -7.066 0.000
4.503 7.066 0.000
0.000 0.000 11.807
Na Tl
16 8
Cartesian
3.704 5.193 0.970
4.503 6.068 8.855
2.754 2.886 3.869
2.519 1.741 0.477
5.302 5.193 4.933
2.519 -1.741 11.330
3.663 0.000 5.903
6.252 2.886 2.035
2.754 -2.886 7.938
5.343 0.000 0.000
6.487 1.741 5.427
3.704 -5.193 10.837
6.487 -1.741 6.380
6.252 -2.886 9.772
4.503 -6.068 2.952
5.302 -5.193 6.873
4.068 3.067 7.267
2.895 0.664 9.176
4.938 3.067 10.443
2.895 -0.664 2.630
6.111 0.664 8.534
4.068 -3.067 4.539
6.111 -0.664 3.273
4.938 -3.067 1.364
```

Principal peaks in the range 10 to 90 degrees two-theta, in order of rising 2θ:
11.65 deg, I = 47; 13.86 deg, I = 100; 14.61 deg, I = 50; 19.59 deg, I = 31; 23.43 deg, I = 40; 31.24 deg, I = 44; 32.77 deg, I = 30; 32.88 deg, I = 38; 33.11 deg, I = 38; 34.10 deg, I = 82



No. 8
This entry pairs a crystal structure of Na3Tl with its computed powder XRD pattern. Radiation: a wavelength of 1.5418 Å. Structure: a DFT-relaxed cell (PBE, the Materials Project).

Structural model:
```
Na3Tl
1.0
4.974 0.000 0.000
0.000 4.974 0.000
0.000 0.000 4.974
Na Tl
3 1
Cartesian
0.000 0.000 2.487
0.000 2.487 0.000
2.487 0.000 0.000
2.487 2.487 2.487
```

Principal peaks in the range 10 to 90 degrees two-theta, in order of rising 2θ:
17.83 deg, I = 100; 25.32 deg, I = 88; 31.14 deg, I = 86; 36.12 deg, I = 44; 40.55 deg, I = 52; 44.62 deg, I = 40; 52.00 deg, I = 30; 55.42 deg, I = 27; 61.87 deg, I = 36; 70.89 deg, I = 21



No. 9
This entry pairs a crystal structure of Na3Tl with its computed powder XRD pattern. Radiation: a wavelength of 1.5418 Å. Structure: a DFT-relaxed cell (PBE, the Materials Project).

Structural model:
```
Na3Tl
1.0
7.887 0.000 0.000
0.000 7.887 0.000
0.000 0.000 7.887
Na Tl
12 4
Cartesian
0.000 0.000 0.000
0.000 3.944 3.944
1.972 1.972 1.972
1.972 1.972 5.916
1.972 5.916 1.972
1.972 5.916 5.916
3.944 0.000 3.944
3.944 3.944 0.000
5.916 1.972 1.972
5.916 1.972 5.916
5.916 5.916 1.972
5.916 5.916 5.916
0.000 0.000 3.944
0.000 3.944 0.000
3.944 0.000 0.000
3.944 3.944 3.944
```

Principal peaks in the range 10 to 90 degrees two-theta, in order of rising 2θ:
19.49 deg, I = 91; 22.55 deg, I = 49; 32.10 deg, I = 100; 37.83 deg, I = 53; 46.03 deg, I = 18; 50.43 deg, I = 24; 51.84 deg, I = 22; 57.22 deg, I = 38; 61.04 deg, I = 18; 70.65 deg, I = 18



No. 10
This entry pairs a crystal structure of Na3Tl with its computed powder XRD pattern. Radiation: a wavelength of 1.5418 Å. Structure: a DFT-relaxed cell (PBE, the Materials Project).

Structural model:
```
Na3Tl
1.0
4.898 0.000 0.000
0.000 4.898 0.000
0.000 0.000 10.220
Na Tl
6 2
Cartesian
0.000 0.000 0.000
0.000 2.449 2.555
0.000 2.449 7.665
2.449 0.000 2.555
2.449 0.000 7.665
2.449 2.449 5.110
0.000 0.000 5.110
2.449 2.449 0.000
```

Principal peaks in the range 10 to 90 degrees two-theta, in order of rising 2θ:
17.35 deg, I = 35; 20.10 deg, I = 100; 25.72 deg, I = 28; 31.20 deg, I = 85; 32.00 deg, I = 32; 36.70 deg, I = 27; 42.19 deg, I = 31; 49.47 deg, I = 20; 51.70 deg, I = 20; 62.68 deg, I = 23



No. 11
This entry pairs a crystal structure of NaTl2 with its computed powder XRD pattern. Radiation: a wavelength of 1.5418 Å. Structure: a DFT-relaxed cell (PBE, the Materials Project).

Structural model:
```
NaTl2
1.0
0.000 5.766 5.766
5.766 0.000 5.766
5.766 5.766 0.000
Na Tl
4 8
Cartesian
0.000 0.000 0.000
2.883 2.883 0.000
2.883 0.000 2.883
0.000 2.883 2.883
3.163 3.163 3.163
5.485 5.485 3.163
5.485 3.163 5.485
8.368 6.046 6.046
3.163 5.485 5.485
6.046 8.368 6.046
6.046 6.046 8.368
8.368 8.368 8.368
```

Principal peaks in the range 10 to 90 degrees two-theta, in order of rising 2θ:
13.30 deg, I = 29; 26.78 deg, I = 100; 31.02 deg, I = 62; 33.88 deg, I = 31; 40.65 deg, I = 47; 44.44 deg, I = 32; 52.65 deg, I = 18; 57.04 deg, I = 26; 61.80 deg, I = 21; 66.35 deg, I = 16



No. 12
This entry pairs a crystal structure of Na3Tl with its computed powder XRD pattern. Radiation: a wavelength of 1.5418 Å. Structure: a DFT-relaxed cell (PBE, the Materials Project).

Structural model:
```
Na3Tl
1.0
6.997 0.000 0.000
-3.498 6.060 0.000
0.000 0.000 5.852
Na Tl
6 2
Cartesian
0.000 2.091 1.463
-1.688 5.014 1.463
1.811 1.045 4.389
1.688 5.014 1.463
5.186 1.045 4.389
3.498 3.969 4.389
0.000 4.040 4.389
3.498 2.020 1.463
```

Principal peaks in the range 10 to 90 degrees two-theta, in order of rising 2θ:
14.62 deg, I = 42; 21.10 deg, I = 100; 25.46 deg, I = 44; 29.48 deg, I = 19; 30.55 deg, I = 23; 33.30 deg, I = 81; 40.18 deg, I = 27; 42.38 deg, I = 37; 56.07 deg, I = 18; 61.79 deg, I = 18



No. 13
This entry pairs a crystal structure of NaTm3 with its computed powder XRD pattern. Radiation: a wavelength of 1.5418 Å. Structure: a DFT-relaxed cell (PBE, the Materials Project).

Structural model:
```
NaTm3
1.0
7.850 0.000 0.000
0.000 7.850 0.000
0.000 0.000 7.850
Na Tm
4 12
Cartesian
0.000 0.000 0.000
0.000 3.925 3.925
3.925 0.000 3.925
3.925 3.925 0.000
0.000 0.000 3.925
0.000 3.925 0.000
1.962 1.962 1.962
1.962 1.962 5.887
1.962 5.887 1.962
1.962 5.887 5.887
3.925 0.000 0.000
3.925 3.925 3.925
5.887 1.962 1.962
5.887 1.962 5.887
5.887 5.887 1.962
5.887 5.887 5.887
```

Principal peaks in the range 10 to 90 degrees two-theta, in order of rising 2θ:
19.59 deg, I = 17; 22.65 deg, I = 9; 32.25 deg, I = 100; 38.02 deg, I = 9; 46.26 deg, I = 18; 50.69 deg, I = 4; 57.52 deg, I = 39; 67.50 deg, I = 12; 76.80 deg, I = 17; 85.75 deg, I = 4



No. 14
This entry pairs a crystal structure of NaTm with its computed powder XRD pattern. Radiation: a wavelength of 1.5418 Å. Structure: a DFT-relaxed cell (PBE, the Materials Project).

Structural model:
```
NaTm
1.0
3.433 0.000 0.000
-1.716 2.973 0.000
0.000 0.000 6.220
Na Tm
1 1
Cartesian
0.000 0.000 0.000
1.716 0.991 3.110
```

Principal peaks in the range 10 to 90 degrees two-theta, in order of rising 2θ:
14.24 deg, I = 79; 28.71 deg, I = 28; 30.06 deg, I = 49; 33.41 deg, I = 100; 42.05 deg, I = 40; 53.38 deg, I = 15; 53.92 deg, I = 26; 55.54 deg, I = 15; 61.73 deg, I = 19; 64.45 deg, I = 15